No. 1
Starting from a cell relaxed with PBE, the X-ray powder pattern of Pr5U2S12 was calculated for Cu Kα (λ = 1.5418 Å).
No peak broadening, texture or thermal motion is included.

Atomic structure:
Cell: 8.699 8.699 9.177 Å, 105.73 105.73 51.38°
Positions (direct):
1 Pr 0.000 0.000 0.000
2 Pr 0.295 0.295 0.137
3 Pr 0.311 0.311 0.676
4 Pr 0.689 0.689 0.324
5 Pr 0.705 0.705 0.863
6 U 0.252 0.748 0.500
7 U 0.748 0.252 0.500
8 S 0.004 0.004 0.307
9 S 0.095 0.558 0.411
10 S 0.103 0.598 0.933
11 S 0.402 0.897 0.067
12 S 0.442 0.905 0.589
13 S 0.498 0.498 0.290
14 S 0.502 0.502 0.710
15 S 0.558 0.095 0.411
16 S 0.598 0.103 0.933
17 S 0.897 0.402 0.067
18 S 0.905 0.442 0.589
19 S 0.996 0.996 0.693

Top 8 peaks for 2θ = 10–80°, low angle first:
2θ/deg, d (Å), I (rel.)
20.24, 4.387, 52
21.37, 4.158, 93
22.69, 3.920, 95
25.73, 3.463, 62
26.50, 3.364, 66
31.28, 2.859, 100
39.27, 2.294, 49
43.23, 2.093, 48

---

No. 2
Starting from a cell relaxed with PBE, the X-ray powder pattern of Tb6Si3Ge was calculated for Cu Kα (λ = 1.5418 Å).
No peak broadening, texture or thermal motion is included.

Atomic structure:
Cell: 6.070 8.053 12.377 Å, 90.00 119.26 90.00°
Positions (direct):
1 Tb 0.049 0.178 0.421
2 Tb 0.049 0.322 0.921
3 Tb 0.291 0.675 0.421
4 Tb 0.291 0.825 0.921
5 Tb 0.381 0.044 0.249
6 Tb 0.381 0.456 0.749
7 Tb 0.619 0.544 0.251
8 Tb 0.619 0.956 0.751
9 Tb 0.709 0.175 0.079
10 Tb 0.709 0.325 0.579
11 Tb 0.951 0.678 0.079
12 Tb 0.951 0.822 0.579
13 Si 0.000 0.000 0.000
14 Si 0.000 0.500 0.500
15 Si 0.160 0.115 0.750
16 Si 0.160 0.385 0.250
17 Si 0.840 0.615 0.750
18 Si 0.840 0.885 0.250
19 Ge 0.500 0.000 0.500
20 Ge 0.500 0.500 0.000

Top 8 peaks for 2θ = 10–80°, low angle first:
2θ/deg, d (Å), I (rel.)
27.84, 3.204, 54
28.84, 3.096, 100
30.94, 2.890, 88
31.39, 2.850, 46
31.50, 2.840, 69
32.60, 2.747, 76
36.60, 2.455, 62
52.09, 1.756, 92

---

No. 3
Starting from a cell relaxed with PBE, the X-ray powder pattern of Au2I3Br8 was calculated for Cu Kα (λ = 1.5418 Å).
No peak broadening, texture or thermal motion is included.

Atomic structure:
Cell: 7.784 7.784 21.703 Å, 92.48 92.48 69.07°
Positions (direct):
1 Au 0.048 0.565 0.896
2 Au 0.435 0.952 0.604
3 Au 0.565 0.048 0.396
4 Au 0.952 0.435 0.104
5 I 0.012 0.988 0.250
6 I 0.057 0.544 0.395
7 I 0.456 0.943 0.105
8 I 0.544 0.057 0.895
9 I 0.943 0.456 0.605
10 I 0.988 0.012 0.750
11 Br 0.034 0.310 0.816
12 Br 0.060 0.839 0.964
13 Br 0.161 0.940 0.536
14 Br 0.289 0.306 0.132
15 Br 0.306 0.289 0.632
16 Br 0.310 0.034 0.316
17 Br 0.380 0.428 0.923
18 Br 0.428 0.380 0.423
19 Br 0.572 0.620 0.577
20 Br 0.620 0.572 0.077
21 Br 0.690 0.966 0.684
22 Br 0.694 0.711 0.368
23 Br 0.711 0.694 0.868
24 Br 0.839 0.060 0.464
25 Br 0.940 0.161 0.036
26 Br 0.966 0.690 0.184

Top 8 peaks for 2θ = 10–80°, low angle first:
2θ/deg, d (Å), I (rel.)
13.83, 6.403, 24
16.39, 5.409, 45
20.91, 4.248, 100
24.50, 3.634, 26
26.06, 3.419, 25
35.57, 2.524, 34
35.97, 2.496, 32
37.83, 2.378, 19

---

No. 4
Starting from a cell relaxed with PBE, the X-ray powder pattern of CsLiTl4 was calculated for Cu Kα (λ = 1.5418 Å).
No peak broadening, texture or thermal motion is included.

Atomic structure:
Cell: 10.949 10.949 10.949 Å, 150.74 139.82 50.47°
Positions (direct):
1 Cs 0.213 0.213 0.000
2 Cs 0.787 0.787 0.000
3 Li 0.500 0.263 0.763
4 Li 0.500 0.737 0.237
5 Tl 0.134 0.405 0.729
6 Tl 0.194 0.000 0.194
7 Tl 0.324 0.595 0.729
8 Tl 0.364 0.864 0.500
9 Tl 0.636 0.136 0.500
10 Tl 0.676 0.405 0.271
11 Tl 0.806 0.000 0.806
12 Tl 0.866 0.595 0.271

Top 8 peaks for 2θ = 10–80°, low angle first:
2θ/deg, d (Å), I (rel.)
25.35, 3.514, 74
26.92, 3.312, 79
27.70, 3.221, 100
29.06, 3.072, 48
31.81, 2.814, 84
32.37, 2.765, 72
36.74, 2.446, 60
41.56, 2.173, 42

---

No. 5
Starting from a cell relaxed with PBE, the X-ray powder pattern of VIrRu was calculated for Cu Kα (λ = 1.5418 Å).
No peak broadening, texture or thermal motion is included.

Atomic structure:
Cell: 5.154 5.448 6.437 Å, 90.76 103.42 106.56°
Positions (direct):
1 V 0.136 0.393 0.373
2 V 0.237 0.440 0.958
3 V 0.763 0.560 0.042
4 V 0.864 0.607 0.627
5 Ir 0.102 0.890 0.359
6 Ir 0.216 0.921 0.971
7 Ir 0.784 0.079 0.029
8 Ir 0.898 0.110 0.641
9 Ru 0.436 0.733 0.691
10 Ru 0.456 0.240 0.700
11 Ru 0.544 0.760 0.300
12 Ru 0.564 0.267 0.309

Top 8 peaks for 2θ = 10–80°, low angle first:
2θ/deg, d (Å), I (rel.)
17.04, 5.203, 81
41.51, 2.176, 100
43.11, 2.098, 61
43.35, 2.087, 61
43.52, 2.080, 55
43.70, 2.071, 54
43.85, 2.064, 55
44.28, 2.046, 52

---

No. 6
Starting from a cell relaxed with PBE, the X-ray powder pattern of TbPm2Sm5Dy was calculated for Cu Kα (λ = 1.5418 Å).
No peak broadening, texture or thermal motion is included.

Atomic structure:
Cell: 10.139 10.139 10.139 Å, 129.38 129.38 74.39°
Positions (direct):
1 Tb 0.250 0.750 0.500
2 Tb 0.750 0.250 0.500
3 Pm 0.119 0.619 0.739
4 Pm 0.381 0.119 0.500
5 Pm 0.619 0.881 0.500
6 Pm 0.881 0.381 0.261
7 Sm 0.000 0.000 0.000
8 Sm 0.071 0.148 0.500
9 Sm 0.148 0.648 0.077
10 Sm 0.352 0.429 0.500
11 Sm 0.429 0.929 0.077
12 Sm 0.500 0.500 0.000
13 Sm 0.571 0.071 0.923
14 Sm 0.648 0.571 0.500
15 Sm 0.852 0.352 0.923
16 Sm 0.929 0.852 0.500
17 Dy 0.250 0.250 0.000
18 Dy 0.750 0.750 0.000

Top 8 peaks for 2θ = 10–80°, low angle first:
2θ/deg, d (Å), I (rel.)
28.37, 3.146, 48
29.14, 3.065, 51
30.25, 2.955, 100
32.67, 2.741, 13
37.83, 2.378, 15
44.89, 2.019, 13
52.36, 1.747, 24
54.41, 1.686, 14

---

No. 7
Starting from a cell relaxed with PBE, the X-ray powder pattern of Ac2HgBO6 was calculated for Cu Kα (λ = 1.5418 Å).
No peak broadening, texture or thermal motion is included.

Atomic structure:
Cell: 5.479 5.479 4.592 Å, 90.00 90.00 90.00°
Positions (direct):
1 Ac 0.000 0.500 0.000
2 Ac 0.500 0.000 0.000
3 Hg 0.000 0.000 0.530
4 B 0.500 0.500 0.514
5 O 0.000 0.000 0.049
6 O 0.290 0.290 0.643
7 O 0.290 0.710 0.643
8 O 0.500 0.500 0.207
9 O 0.710 0.290 0.643
10 O 0.710 0.710 0.643

Top 8 peaks for 2θ = 10–80°, low angle first:
2θ/deg, d (Å), I (rel.)
16.18, 5.479, 16
30.18, 2.961, 100
32.69, 2.740, 40
39.24, 2.296, 13
46.90, 1.937, 20
51.97, 1.760, 24
56.79, 1.621, 34
62.76, 1.481, 13

---

No. 8
Starting from a cell relaxed with PBE, the X-ray powder pattern of Tb2CuAu3 was calculated for Cu Kα (λ = 1.5418 Å).
No peak broadening, texture or thermal motion is included.

Atomic structure:
Cell: 3.508 4.613 7.950 Å, 90.00 90.00 90.00°
Positions (direct):
1 Tb 0.000 0.000 0.000
2 Tb 0.000 0.500 0.497
3 Cu 0.500 0.000 0.322
4 Au 0.500 0.000 0.645
5 Au 0.500 0.500 0.183
6 Au 0.500 0.500 0.836

Top 8 peaks for 2θ = 10–80°, low angle first:
2θ/deg, d (Å), I (rel.)
25.39, 3.508, 10
34.05, 2.633, 100
39.05, 2.307, 26
39.21, 2.298, 48
52.15, 1.754, 11
52.79, 1.734, 19
67.03, 1.396, 11
67.14, 1.394, 20

---

No. 9
Starting from a cell relaxed with PBE, the X-ray powder pattern of Nb6AlMo was calculated for Cu Kα (λ = 1.5418 Å).
No peak broadening, texture or thermal motion is included.

Atomic structure:
Cell: 5.216 5.216 5.216 Å, 89.95 89.95 89.95°
Positions (direct):
1 Nb 0.001 0.500 0.254
2 Nb 0.254 0.001 0.500
3 Nb 0.500 0.254 0.001
4 Nb 0.500 0.746 0.999
5 Nb 0.746 0.999 0.500
6 Nb 0.999 0.500 0.746
7 Al 0.000 0.000 0.000
8 Mo 0.500 0.500 0.500

Top 8 peaks for 2θ = 10–80°, low angle first:
2θ/deg, d (Å), I (rel.)
17.00, 5.216, 7
34.39, 2.608, 23
38.60, 2.333, 100
42.45, 2.129, 50
61.59, 1.506, 11
64.40, 1.447, 21
67.15, 1.394, 25
72.48, 1.304, 12

---

No. 10
Starting from a cell relaxed with PBE, the X-ray powder pattern of La3UO6 was calculated for Cu Kα (λ = 1.5418 Å).
No peak broadening, texture or thermal motion is included.

Atomic structure:
Cell: 7.118 7.118 7.118 Å, 90.56 90.56 90.56°
Positions (direct):
1 La 0.038 0.560 0.746
2 La 0.254 0.962 0.440
3 La 0.440 0.254 0.962
4 La 0.560 0.746 0.038
5 La 0.746 0.038 0.560
6 La 0.962 0.440 0.254
7 U 0.000 0.000 0.000
8 U 0.500 0.500 0.500
9 O 0.040 0.916 0.700
10 O 0.084 0.300 0.960
11 O 0.190 0.608 0.448
12 O 0.300 0.960 0.084
13 O 0.392 0.552 0.810
14 O 0.448 0.190 0.608
15 O 0.552 0.810 0.392
16 O 0.608 0.448 0.190
17 O 0.700 0.040 0.916
18 O 0.810 0.392 0.552
19 O 0.916 0.700 0.040
20 O 0.960 0.084 0.300

Top 8 peaks for 2θ = 10–80°, low angle first:
2θ/deg, d (Å), I (rel.)
25.02, 3.559, 67
27.92, 3.196, 77
28.14, 3.171, 37
30.72, 2.911, 100
31.03, 2.882, 36
40.18, 2.244, 30
47.58, 1.911, 62
48.21, 1.888, 28

---

No. 11
Starting from a cell relaxed with PBE, the X-ray powder pattern of CsKGaAg2 was calculated for Cu Kα (λ = 1.5418 Å).
No peak broadening, texture or thermal motion is included.

Atomic structure:
Cell: 5.267 5.267 6.151 Å, 90.00 90.00 90.00°
Positions (direct):
1 Cs 0.000 0.000 0.000
2 K 0.500 0.500 0.000
3 Ga 0.500 0.500 0.500
4 Ag 0.000 0.500 0.500
5 Ag 0.500 0.000 0.500

Top 8 peaks for 2θ = 10–80°, low angle first:
2θ/deg, d (Å), I (rel.)
22.22, 4.001, 44
28.01, 3.186, 100
29.03, 3.075, 48
34.05, 2.633, 63
45.34, 2.000, 55
48.91, 1.862, 22
57.31, 1.608, 25
57.89, 1.593, 26

---

No. 12
Starting from a cell relaxed with PBE, the X-ray powder pattern of BaLiZr2 was calculated for Cu Kα (λ = 1.5418 Å).
No peak broadening, texture or thermal motion is included.

Atomic structure:
Cell: 11.406 11.406 11.406 Å, 17.14 17.14 17.14°
Positions (direct):
1 Ba 0.000 0.000 0.000
2 Li 0.761 0.761 0.761
3 Zr 0.240 0.240 0.240
4 Zr 0.503 0.503 0.503

Top 8 peaks for 2θ = 10–80°, low angle first:
2θ/deg, d (Å), I (rel.)
15.78, 5.618, 36
30.83, 2.900, 18
31.86, 2.809, 29
32.21, 2.779, 100
37.26, 2.413, 63
53.49, 1.713, 17
53.94, 1.700, 23
64.03, 1.454, 23